[1]
Diffraction record for Rb3CaRe2O8. The powder diffraction line list is calculated, not measured: it uses the GGA-PBE geometry in Alexandria and Cu Kα.
Intensities are scaled so that the largest is 100.

Cell and atoms:
Lattice parameters (Å, degrees): 6.2130 6.2130 8.0665 90.00 90.00 120.00
Sites, in units of the cell vectors:
1 Rb 0.0000 0.0000 0.0000
2 Rb 0.3333 0.6667 0.6691
3 Rb 0.6667 0.3333 0.3309
4 Ca 0.0000 0.0000 0.5000
5 Re 0.3333 0.6667 0.2308
6 Re 0.6667 0.3333 0.7692
7 O 0.1757 0.3514 0.3228
8 O 0.1757 0.8243 0.3228
9 O 0.3333 0.6667 0.0089
10 O 0.3514 0.1757 0.6772
11 O 0.6486 0.8243 0.3228
12 O 0.6667 0.3333 0.9911
13 O 0.8243 0.1757 0.6772
14 O 0.8243 0.6486 0.6772

Main lines, sorted by position (10° ≤ 2θ ≤ 90°):
| two_theta | I (rel.) |
| --- | --- |
| 16.5 | 18 |
| 19.8 | 53 |
| 22.0 | 17 |
| 27.6 | 69 |
| 28.7 | 100 |
| 37.4 | 19 |
| 40.3 | 37 |
| 50.2 | 26 |
| 50.9 | 20 |
| 59.5 | 17 |

***

[2]
Diffraction record for Rb2CaRhO4. The powder diffraction line list is calculated, not measured: it uses the GGA-PBE geometry in Alexandria and Cu Kα.
Intensities are scaled so that the largest is 100.

Cell and atoms:
Lattice parameters (Å, degrees): 13.1794 11.6425 7.5505 83.84 61.44 34.72
Sites, in units of the cell vectors:
1 Rb 0.0659 0.0659 0.6841
2 Rb 0.3159 0.3159 0.9341
3 Rb 0.6841 0.6841 0.0659
4 Rb 0.9341 0.9341 0.3159
5 Ca 0.1250 0.1250 0.1250
6 Ca 0.8750 0.8750 0.8750
7 Rh 0.3750 0.3750 0.3750
8 Rh 0.6250 0.6250 0.6250
9 O 0.0423 0.6798 0.5111
10 O 0.2668 0.5111 0.6798
11 O 0.3202 0.9577 0.7332
12 O 0.4889 0.7332 0.9577
13 O 0.5111 0.2668 0.0423
14 O 0.6798 0.0423 0.2668
15 O 0.7332 0.4889 0.3202
16 O 0.9577 0.3202 0.4889

Main lines, sorted by position (10° ≤ 2θ ≤ 90°):
| two_theta | I (rel.) |
| --- | --- |
| 15.8 | 99 |
| 19.8 | 100 |
| 25.8 | 39 |
| 27.0 | 53 |
| 27.1 | 74 |
| 31.9 | 58 |
| 42.3 | 27 |
| 46.4 | 46 |
| 49.5 | 24 |
| 57.4 | 38 |

***

[3]
Diffraction record for Rb3Ca3RuO8. The powder diffraction line list is calculated, not measured: it uses the GGA-PBE geometry in Alexandria and Cu Kα.
Intensities are scaled so that the largest is 100.

Cell and atoms:
Lattice parameters (Å, degrees): 7.6408 7.6408 7.6408 53.55 53.55 53.55
Sites, in units of the cell vectors:
1 Rb 0.0000 0.5000 0.5000
2 Rb 0.5000 0.0000 0.5000
3 Rb 0.5000 0.5000 0.0000
4 Ca 0.0000 0.0000 0.5000
5 Ca 0.0000 0.5000 0.0000
6 Ca 0.5000 0.0000 0.0000
7 Ru 0.5000 0.5000 0.5000
8 O 0.2247 0.2247 0.2247
9 O 0.2837 0.6911 0.6911
10 O 0.3089 0.3089 0.7163
11 O 0.3089 0.7163 0.3089
12 O 0.6911 0.2837 0.6911
13 O 0.6911 0.6911 0.2837
14 O 0.7163 0.3089 0.3089
15 O 0.7753 0.7753 0.7753

Main lines, sorted by position (10° ≤ 2θ ≤ 90°):
| two_theta | I (rel.) |
| --- | --- |
| 15.5 | 69 |
| 27.3 | 45 |
| 29.3 | 22 |
| 31.4 | 57 |
| 35.3 | 100 |
| 48.1 | 30 |
| 53.2 | 28 |
| 56.2 | 18 |
| 60.9 | 25 |
| 65.5 | 13 |

***

[4]
Diffraction record for Rb2CaRuO6. The powder diffraction line list is calculated, not measured: it uses the GGA-PBE geometry in Alexandria and Cu Kα.
Intensities are scaled so that the largest is 100.

Cell and atoms:
Lattice parameters (Å, degrees): 6.3380 6.3380 5.8367 90.00 90.00 120.00
Sites, in units of the cell vectors:
1 Rb 0.3333 0.6667 0.3604
2 Rb 0.6667 0.3333 0.6396
3 Ca 0.0000 0.0000 0.0000
4 Ru 0.0000 0.0000 0.5000
5 O 0.1383 0.2765 0.6934
6 O 0.1383 0.8617 0.6934
7 O 0.2765 0.1383 0.3066
8 O 0.7235 0.8617 0.6934
9 O 0.8617 0.1383 0.3066
10 O 0.8617 0.7235 0.3066

Main lines, sorted by position (10° ≤ 2θ ≤ 90°):
| two_theta | I (rel.) |
| --- | --- |
| 15.2 | 74 |
| 16.1 | 48 |
| 22.2 | 41 |
| 28.2 | 100 |
| 32.1 | 43 |
| 34.8 | 47 |
| 36.2 | 41 |
| 45.4 | 45 |
| 54.2 | 32 |
| 58.2 | 20 |

***

[5]
Diffraction record for RbCaScO3. The powder diffraction line list is calculated, not measured: it uses the GGA-PBE geometry in Alexandria and Cu Kα.
Intensities are scaled so that the largest is 100.

Cell and atoms:
Lattice parameters (Å, degrees): 8.0731 8.0731 8.8362 110.87 110.87 26.03
Sites, in units of the cell vectors:
1 Rb 0.1337 0.1337 0.0990
2 Rb 0.8663 0.8663 0.9010
3 Ca 0.1751 0.1751 0.5376
4 Ca 0.8249 0.8249 0.4624
5 Sc 0.4853 0.4853 0.6657
6 Sc 0.5147 0.5147 0.3343
7 O 0.0023 0.0023 0.7740
8 O 0.3295 0.3295 0.6451
9 O 0.4082 0.4082 0.4154
10 O 0.5918 0.5918 0.5846
11 O 0.6705 0.6705 0.3549
12 O 0.9977 0.9977 0.2260

Main lines, sorted by position (10° ≤ 2θ ≤ 90°):
| two_theta | I (rel.) |
| --- | --- |
| 12.9 | 68 |
| 18.9 | 36 |
| 26.0 | 60 |
| 26.6 | 81 |
| 28.5 | 94 |
| 30.3 | 37 |
| 30.7 | 100 |
| 31.9 | 99 |
| 43.6 | 44 |
| 50.2 | 40 |

***

[6]
Diffraction record for RbCa2Se2O6. The powder diffraction line list is calculated, not measured: it uses the GGA-PBE geometry in Alexandria and Cu Kα.
Intensities are scaled so that the largest is 100.

Cell and atoms:
Lattice parameters (Å, degrees): 6.1669 6.4720 6.7466 115.01 116.82 91.76
Sites, in units of the cell vectors:
1 Rb 0.0000 0.0000 0.0000
2 Ca 0.3194 0.6733 0.6595
3 Ca 0.6806 0.3267 0.3405
4 Se 0.3601 0.1602 0.6103
5 Se 0.6399 0.8398 0.3897
6 O 0.0892 0.3007 0.5165
7 O 0.4263 0.6079 0.3334
8 O 0.4830 0.8642 0.1067
9 O 0.5170 0.1358 0.8933
10 O 0.5737 0.3921 0.6666
11 O 0.9108 0.6993 0.4835

Main lines, sorted by position (10° ≤ 2θ ≤ 90°):
| two_theta | I (rel.) |
| --- | --- |
| 15.7 | 62 |
| 16.9 | 49 |
| 20.2 | 100 |
| 29.0 | 75 |
| 29.2 | 98 |
| 29.5 | 77 |
| 31.6 | 77 |
| 32.5 | 97 |
| 32.7 | 49 |
| 44.3 | 44 |